Entry 1:
Diffraction record for PaBeGaCo2. The X-ray diffraction stick pattern is calculated, not measured: it uses DFT lattice parameters and positions (PBE) and CuKα.

Cell and atoms:
```
10
Lattice="2.5129 -6.1639 0.0000 2.5129 6.1639 0.0000 0.0000 0.0000 4.6611" Properties=species:S:1:pos:R:3 pbc="T T T"
Pa 2.5129 3.0819 3.7022
Pa 2.5129 -3.0819 0.9588
Be 1.2564 0.0000 2.3305
Be 3.7693 0.0000 2.3305
Ga 0.0000 0.0000 0.0000
Ga 2.5129 0.0000 0.0000
Co 2.5129 4.3605 1.5762
Co 2.5129 1.8034 1.5762
Co 2.5129 -1.8034 3.0848
Co 2.5129 -4.3605 3.0848
```

Most intense lines, 2θ from 10° to 80°, in order of rising 2θ:
| two_theta | I_rel |
| --- | --- |
| 14.4 | 92 |
| 27.1 | 47 |
| 34.1 | 100 |
| 35.7 | 59 |
| 41.4 | 37 |
| 43.4 | 34 |
| 45.4 | 71 |
| 55.8 | 28 |


Entry 2:
Diffraction record for MoW2Se2S4. The X-ray diffraction stick pattern is calculated, not measured: it uses DFT lattice parameters and positions (PBE) and CuKα.

Cell and atoms:
```
9
Lattice="3.2306 0.0000 0.0000 -1.6153 2.7978 0.0000 0.0000 0.0000 21.9219" Properties=species:S:1:pos:R:3 pbc="T T T"
Mo 0.0000 0.0000 0.0000
W 1.6153 0.9326 7.1578
W 1.6153 0.9326 14.7641
Se 1.6153 0.9326 1.7078
Se 1.6153 0.9326 20.2140
S 0.0000 0.0000 5.5990
S 0.0000 0.0000 8.7166
S 0.0000 0.0000 13.2053
S 0.0000 0.0000 16.3229
```

Most intense lines, 2θ from 10° to 80°, in order of rising 2θ:
| two_theta | I_rel |
| --- | --- |
| 12.1 | 100 |
| 32.0 | 24 |
| 34.3 | 21 |
| 36.0 | 11 |
| 38.2 | 31 |
| 46.4 | 22 |
| 57.0 | 12 |
| 58.5 | 11 |


Entry 3:
Diffraction record for Mg4CuO5. The X-ray diffraction stick pattern is calculated, not measured: it uses DFT lattice parameters and positions (PBE) and CuKα.

Cell and atoms:
```
10
Lattice="-1.5093 2.1201 7.5311 1.5093 -2.1201 7.5311 1.5093 2.1201 -7.5311" Properties=species:S:1:pos:R:3 pbc="T T T"
Mg 0.0000 0.0000 1.4911
Mg 0.0000 0.0000 4.5085
Mg 0.0000 0.0000 10.5537
Mg 0.0000 0.0000 13.5711
Cu 0.0000 0.0000 7.5311
O 1.5093 0.0000 0.0000
O 1.5093 0.0000 3.0071
O 1.5093 0.0000 5.9874
O 0.0000 2.1201 1.5437
O 0.0000 2.1201 4.5240
```

Most intense lines, 2θ from 10° to 80°, in order of rising 2θ:
| two_theta | I_rel |
| --- | --- |
| 11.8 | 32 |
| 21.8 | 17 |
| 36.6 | 39 |
| 42.4 | 100 |
| 42.6 | 49 |
| 61.4 | 14 |
| 61.6 | 14 |
| 61.7 | 56 |